Diffraction record for Li3Tb4ZnSn8. The powder diffraction line list is computed, not measured: it uses DFT lattice parameters and positions (GGA-PBE) and copper Kα.

Crystal structure
```
data_Li3Tb4ZnSn8
_chemical_formula_sum 'Li3 Tb4 Zn1 Sn8'
_symmetry_space_group_name_H-M 'P m m 2'
_symmetry_Int_Tables_number 25
_cell_length_a 4.3406
_cell_length_b 4.6859
_cell_length_c 18.9532
_cell_angle_alpha 90.00
_cell_angle_beta 90.00
_cell_angle_gamma 90.00
loop_
_symmetry_equiv_pos_as_xyz
'x,y,z'
'-x,-y,z'
'-x,y,z'
'x,-y,z'
loop_
_atom_site_label
_atom_site_fract_x
_atom_site_fract_y
_atom_site_fract_z
Li1 0.0000 0.0000 0.0000
Li2 0.0000 0.5000 0.3465
Li3 0.5000 0.5000 0.8499
Tb1 0.0000 0.0000 0.7837
Tb2 0.0000 0.5000 0.5685
Tb3 0.5000 0.0000 0.2703
Tb4 0.5000 0.5000 0.0693
Zn1 0.5000 0.0000 0.5077
Sn1 0.0000 0.0000 0.1307
Sn2 0.0000 0.0000 0.4191
Sn3 0.0000 0.5000 0.2147
Sn4 0.0000 0.5000 0.9286
Sn5 0.5000 0.0000 0.6404
Sn6 0.5000 0.0000 0.9215
Sn7 0.5000 0.5000 0.4281
Sn8 0.5000 0.5000 0.7196
```

Top 10 peaks for 10 to 90 degrees two-theta, most intense first:
Position (°2θ)	I/Imax
31.5	100
38.4	22
31.3	19
61.2	18
41.6	17
34.2	15
42.8	14
57.9	14
65.2	13
69.6	13